Structure and theoretical X-ray diffraction stick pattern of ZrNi6Sb (a crystal structure in Alexandria, relaxed with GGA-PBE; λ = 1.5418 Å (Cu Kα)).

Top 8 peaks for 5 to 70 degrees two-theta, low angle first:
- 8.36°, d = 10.578 Å, rel. 1
- 23.76°, d = 3.745 Å, rel. 6
- 33.85°, d = 2.648 Å, rel. 5
- 41.78°, d = 2.162 Å, rel. 100
- 48.63°, d = 1.872 Å, rel. 47
- 54.80°, d = 1.675 Å, rel. 2
- 60.54°, d = 1.529 Å, rel. 1
- 60.62°, d = 1.528 Å, rel. 1

Structural model:
```
ZrNi6Sb
1.0
3.748 -5.299 0.000
3.748 5.299 0.000
0.000 0.000 10.578
Zr Ni Sb
4 24 4
Direct
0.000 0.000 0.249
0.000 0.000 0.751
0.246 0.754 0.000
0.754 0.246 0.000
0.000 0.000 0.000
0.000 0.000 0.500
0.126 0.376 0.125
0.126 0.376 0.875
0.128 0.376 0.376
0.128 0.376 0.624
0.249 0.751 0.251
0.249 0.751 0.749
0.376 0.126 0.125
0.376 0.126 0.875
0.376 0.128 0.376
0.376 0.128 0.624
0.500 0.500 0.000
0.500 0.500 0.500
0.624 0.872 0.376
0.624 0.872 0.624
0.624 0.874 0.125
0.624 0.874 0.875
0.751 0.249 0.251
0.751 0.249 0.749
0.872 0.624 0.376
0.872 0.624 0.624
0.874 0.624 0.125
0.874 0.624 0.875
0.245 0.755 0.500
0.500 0.500 0.249
0.500 0.500 0.751
0.755 0.245 0.500
```